For Er6TeO12, the PBE geometry in Alexandria gives the computed powder diffractogram in this record (copper Kα).
Kinematic intensities with the Lorentz-polarization factor, no thermal factor.

Atomic structure:
abc: 6.309 6.565 9.470
angles: 86.60 70.86 65.31
Space group P-1 (No. 2)
Asymmetric unit:
Er (0.008, 0.440, 0.178) (multiplicity 2)
Er (0.187, 0.197, 0.505) (multiplicity 2)
Er (0.387, 0.780, 0.211) (multiplicity 2)
Te (0.500, 0.500, 0.500) (multiplicity 1)
O (0.058, 0.717, 0.259) (multiplicity 2)
O (0.172, 0.539, 0.521) (multiplicity 2)
O (0.216, 0.131, 0.275) (multiplicity 2)
O (0.254, 0.343, 0.953) (multiplicity 2)
O (0.391, 0.560, 0.713) (multiplicity 2)
O (0.437, 0.819, 0.459) (multiplicity 2)

Top 6 peaks for 10° ≤ 2θ ≤ 90°, in order of rising 2θ:
- 17.4°, intensity 49, hkl 1 1 1
- 28.3°, intensity 88, hkl 1 2 1
- 28.9°, intensity 100, hkl 1 -1 2
- 30.0°, intensity 94, hkl 2 1 0
- 30.1°, intensity 86, hkl 0 0 3
- 30.8°, intensity 76, hkl -1 1 1